[1]
Nd2O5: simulated X-ray diffraction stick pattern (CuKα), based on a crystal structure in the Materials Project, relaxed with GGA-PBE.
Kinematic intensities with the Lorentz-polarization factor, no thermal factor.

Largest 8 diffraction maxima, by angle, 2θ from 10° to 90°:
d_spacing, Rel. int.
4.125, 37
3.470, 94
3.296, 100
3.017, 53
2.948, 55
2.826, 45
2.463, 42
1.895, 31

Crystal structure
```
Nd2O5
1.0
6.425 -2.826 0.000
6.425 2.826 0.000
-2.407 0.000 5.554
Nd O
4 10
Direct
0.100 0.681 0.943
0.319 0.900 0.557
0.681 0.100 0.443
0.900 0.319 0.057
0.007 0.616 0.275
0.055 0.945 0.750
0.280 0.524 0.320
0.384 0.993 0.225
0.476 0.720 0.180
0.524 0.280 0.820
0.616 0.007 0.775
0.720 0.476 0.680
0.945 0.055 0.250
0.993 0.384 0.725
```



[2]
Co3H: simulated X-ray diffraction stick pattern (CuKα), based on a crystal structure in the Materials Project, relaxed with GGA-PBE.
Kinematic intensities with the Lorentz-polarization factor, no thermal factor.

Largest 8 diffraction maxima, by angle, 2θ from 10° to 90°:
d_spacing, Rel. int.
3.084, 30
2.671, 15
1.888, 100
1.611, 12
1.335, 14
1.225, 5
1.194, 4
1.090, 29

Crystal structure
```
Co3H
1.0
0.000 2.671 2.671
2.671 0.000 2.671
2.671 2.671 0.000
Co H
3 1
Direct
0.000 0.000 0.000
0.250 0.250 0.250
0.750 0.750 0.750
0.500 0.500 0.500
```



[3]
BaTbO3: simulated X-ray diffraction stick pattern (CuKα), based on a crystal structure in the Materials Project, relaxed with GGA-PBE.
Kinematic intensities with the Lorentz-polarization factor, no thermal factor.

Largest 8 diffraction maxima, by angle, 2θ from 10° to 90°:
d_spacing, Rel. int.
4.452, 3
3.148, 100
2.226, 29
1.817, 42
1.574, 19
1.408, 18
1.285, 6
1.190, 22

Crystal structure
```
BaTbO3
1.0
4.452 0.000 0.000
0.000 4.452 0.000
0.000 0.000 4.452
Ba Tb O
1 1 3
Direct
0.000 0.000 0.000
0.500 0.500 0.500
0.000 0.500 0.500
0.500 0.000 0.500
0.500 0.500 0.000
```



[4]
LaReB: simulated X-ray diffraction stick pattern (CuKα), based on a crystal structure in the Materials Project, relaxed with GGA-PBE.
Kinematic intensities with the Lorentz-polarization factor, no thermal factor.

Largest 8 diffraction maxima, by angle, 2θ from 10° to 90°:
d_spacing, Rel. int.
3.520, 100
3.048, 1
2.155, 85
1.838, 49
1.524, 14
1.399, 20
1.244, 29
1.173, 15

Crystal structure
```
LaReB
1.0
0.000 3.048 3.048
3.048 0.000 3.048
3.048 3.048 0.000
La Re B
1 1 1
Direct
0.000 0.000 0.000
0.750 0.750 0.750
0.500 0.500 0.500
```



[5]
Tm6GaNi2: simulated X-ray diffraction stick pattern (CuKα), based on a crystal structure in the Materials Project, relaxed with GGA-PBE.
Kinematic intensities with the Lorentz-polarization factor, no thermal factor.

Largest 8 diffraction maxima, by angle, 2θ from 10° to 90°:
d_spacing, Rel. int.
3.356, 22
2.929, 24
2.722, 100
2.556, 44
2.520, 49
2.491, 59
2.314, 24
1.512, 27

Crystal structure
```
Tm6GaNi2
1.0
-4.628 4.658 4.870
4.628 -4.658 4.870
4.628 4.658 -4.870
Tm Ga Ni
12 2 4
Direct
0.038 0.237 0.801
0.182 0.283 0.465
0.182 0.717 0.899
0.323 0.020 0.697
0.323 0.626 0.303
0.436 0.237 0.199
0.564 0.763 0.801
0.677 0.374 0.697
0.677 0.980 0.303
0.818 0.283 0.101
0.818 0.717 0.535
0.962 0.763 0.199
0.000 0.000 0.000
0.500 0.500 0.000
0.122 0.622 0.500
0.356 0.000 0.356
0.644 0.000 0.644
0.878 0.378 0.500
```



[6]
FeAsS: simulated X-ray diffraction stick pattern (CuKα), based on a crystal structure in the Materials Project, relaxed with GGA-PBE.
Kinematic intensities with the Lorentz-polarization factor, no thermal factor.

Largest 8 diffraction maxima, by angle, 2θ from 10° to 90°:
d_spacing, Rel. int.
3.651, 44
2.659, 41
2.438, 100
2.416, 49
2.408, 55
1.818, 41
1.811, 48
1.629, 46

Crystal structure
```
FeAsS
1.0
5.740 0.000 0.000
0.000 5.672 0.000
-2.166 0.000 5.340
Fe As S
4 4 4
Direct
0.212 0.009 0.203
0.212 0.491 0.703
0.788 0.509 0.297
0.788 0.991 0.797
0.354 0.632 0.129
0.354 0.868 0.629
0.646 0.132 0.371
0.646 0.368 0.871
0.152 0.133 0.823
0.152 0.367 0.323
0.848 0.633 0.677
0.848 0.867 0.177
```



[7]
NaV2S4: simulated X-ray diffraction stick pattern (CuKα), based on a crystal structure in the Materials Project, relaxed with GGA-PBE.
Kinematic intensities with the Lorentz-polarization factor, no thermal factor.

Largest 8 diffraction maxima, by angle, 2θ from 10° to 90°:
d_spacing, Rel. int.
7.047, 100
2.853, 8
2.812, 23
2.459, 24
2.386, 48
2.129, 10
1.734, 12
1.691, 15

Crystal structure
```
NaV2S4
1.0
5.858 0.000 0.000
0.000 3.394 0.000
-1.633 0.000 7.047
Na V S
1 2 4
Direct
0.000 0.000 0.000
0.367 0.500 0.497
0.811 0.000 0.487
0.222 0.000 0.676
0.443 0.000 0.284
0.738 0.500 0.704
0.957 0.500 0.309
```



[8]
Mg6NbB: simulated X-ray diffraction stick pattern (CuKα), based on a crystal structure in the Materials Project, relaxed with GGA-PBE.
Kinematic intensities with the Lorentz-polarization factor, no thermal factor.

Largest 8 diffraction maxima, by angle, 2θ from 10° to 90°:
d_spacing, Rel. int.
5.024, 72
3.452, 64
2.596, 33
2.512, 45
2.403, 90
2.375, 48
2.221, 100
1.725, 37

Crystal structure
```
Mg6NbB
1.0
4.750 0.000 0.000
0.000 2.814 5.572
0.000 -2.814 5.572
Mg Nb B
6 1 1
Direct
0.000 0.000 0.000
0.000 0.000 0.505
0.000 0.479 0.479
0.000 0.505 0.000
0.500 0.349 0.851
0.500 0.851 0.349
0.500 0.852 0.852
0.500 0.334 0.334
```



[9]
DySi2Ir2: simulated X-ray diffraction stick pattern (CuKα), based on a crystal structure in the Materials Project, relaxed with GGA-PBE.
Kinematic intensities with the Lorentz-polarization factor, no thermal factor.

Largest 8 diffraction maxima, by angle, 2θ from 10° to 90°:
d_spacing, Rel. int.
4.987, 18
2.578, 12
2.498, 100
2.042, 28
1.888, 15
1.580, 17
1.441, 15
1.250, 27

Crystal structure
```
DySi2Ir2
1.0
-2.042 2.042 4.987
2.042 -2.042 4.987
2.042 2.042 -4.987
Dy Si Ir
1 2 2
Direct
0.000 0.000 0.000
0.379 0.379 0.000
0.621 0.621 0.000
0.250 0.750 0.500
0.750 0.250 0.500
```



[10]
Tl3Ga: simulated X-ray diffraction stick pattern (CuKα), based on a crystal structure in the Materials Project, relaxed with GGA-PBE.
Kinematic intensities with the Lorentz-polarization factor, no thermal factor.

Largest 8 diffraction maxima, by angle, 2θ from 10° to 90°:
d_spacing, Rel. int.
4.477, 8
2.742, 100
2.338, 5
1.939, 19
1.583, 39
1.371, 12
1.226, 17
1.119, 4

Crystal structure
```
Tl3Ga
1.0
0.000 3.877 3.877
3.877 0.000 3.877
3.877 3.877 0.000
Tl Ga
3 1
Direct
0.000 0.000 0.000
0.250 0.250 0.250
0.750 0.750 0.750
0.500 0.500 0.500
```